[1]
Theoretical powder diffractogram of KCoC4O4 for Cu Kα (weighted mean of Kα1 and Kα2), from DFT lattice parameters and positions (GGA+U).

Structure:
```
40
Lattice="5.7383 0.0000 0.0000 -2.8582 10.9913 0.0000 -2.8462 -2.4514 11.5594" Properties=species:S:1:pos:R:3 pbc="T T T"
K 0.0000 0.0000 0.0000
K -3.4308 4.1280 10.1763
K -0.5829 4.2679 5.7476
K 2.8283 -0.1141 4.4622
Co -2.0198 7.0363 8.0587
Co 1.4151 2.7773 2.2774
Co 0.8753 1.3512 7.9200
Co 1.4068 8.0846 2.1493
C -3.1743 9.1320 2.9133
C -3.1611 5.9901 7.2728
C 0.1569 2.0428 3.2194
C -3.0396 8.0906 8.9979
C 0.6026 3.7934 1.1083
C -0.1377 0.2884 6.9850
C 0.1708 8.8074 1.1687
C -1.1992 8.0505 6.8964
C -0.2601 2.4000 8.7112
C 0.6089 7.0661 3.3246
C 2.5571 1.7161 1.5117
C -0.7746 6.3033 9.0208
C 2.4337 3.8167 3.2357
C 1.6773 0.3362 9.0972
C 2.3888 7.0135 1.1936
C 2.0951 2.0791 6.9230
O -0.7224 1.6088 3.8799
O -0.8504 -0.4139 6.3731
O -2.3232 9.7947 3.3916
O 0.0353 4.4888 0.3543
O -3.7535 8.8068 9.5909
O -0.6914 9.2055 0.4642
O -1.0901 3.0657 9.2169
O 0.0885 6.3305 4.0746
O -0.6419 8.7574 6.1466
O 3.3927 1.0388 1.0276
O 0.1009 5.8685 9.6842
O 3.0764 6.2892 0.5776
O 2.1712 -0.3964 9.8665
O 1.7320 5.3411 6.7691
O 2.9581 2.4858 6.2260
O 3.1575 4.5172 3.8384
```

The 8 most intense peaks (5 to 70 degrees two-theta), in order of rising 2θ:
d/Å  Rel. int.
5.327  52
4.619  81
4.420  81
3.583  75
3.325  100
3.010  77
2.964  57
2.840  42



[2]
Theoretical powder diffractogram of KCoC4O4 for Cu Kα (weighted mean of Kα1 and Kα2), from DFT lattice parameters and positions (GGA+U).

Structure:
```
40
Lattice="11.1892 -2.8953 0.0000 11.1892 2.8953 0.0000 -8.7205 0.0000 11.7606" Properties=species:S:1:pos:R:3 pbc="T T T"
K 3.3591 0.2855 0.6868
K -1.0012 -0.2855 6.5671
K 14.6591 0.2855 5.1935
K 10.2988 -0.2855 11.0737
Co 1.9608 1.1626 8.7547
Co 7.3369 1.1626 8.8862
Co 6.3210 -1.1626 2.8744
Co 11.6971 -1.1626 3.0059
C 1.2420 0.4983 3.9838
C 2.9696 1.9735 9.9374
C 6.3281 1.9735 7.7035
C -3.1183 -0.4983 9.8641
C 0.9009 0.0241 9.5335
C 5.2612 -0.0241 3.6532
C 3.0234 0.1549 7.8041
C 7.3836 -0.1549 1.9239
C 6.2743 0.1549 9.8367
C 10.6346 -0.1549 3.9564
C 8.3967 0.0241 8.1073
C 12.7570 -0.0241 2.2270
C 16.7762 0.4983 1.8965
C 7.3298 -1.9735 4.0571
C 10.6884 -1.9735 1.8232
C 12.4159 -0.4983 7.7767
O 5.6215 2.4987 6.9342
O 3.6762 2.4987 10.7066
O -2.6929 0.3670 10.5435
O 4.5846 0.8027 4.1484
O 1.6674 -0.3670 4.6632
O 8.0882 0.5532 1.3106
O 0.2244 -0.8027 10.0286
O 3.7279 -0.5532 7.1908
O 9.9300 0.5532 4.5697
O 13.4335 0.8027 1.7319
O 5.5697 -0.5532 10.4500
O 11.9905 0.3670 7.0973
O 9.0733 -0.8027 7.6122
O 16.3508 -0.3670 1.2171
O 9.9817 -2.4987 1.0539
O 8.0364 -2.4987 4.8263
```

The 8 most intense peaks (5 to 70 degrees two-theta), in order of rising 2θ:
d/Å  Rel. int.
5.880  43
5.383  54
4.674  80
4.494  80
3.651  73
3.376  100
3.054  79
3.013  57



[3]
Theoretical powder diffractogram of Li6MnCoP2C2O14 for Cu Kα (weighted mean of Kα1 and Kα2), from DFT lattice parameters and positions (GGA+U).

Structure:
```
52
Lattice="8.2200 0.0000 0.0000 -2.1084 7.9482 0.0000 -0.5428 -0.7181 8.4995" Properties=species:S:1:pos:R:3 pbc="T T T"
Li 0.0000 0.0000 0.0000
Li -1.2149 3.7640 3.8790
Li 0.2613 6.1239 0.0000
Li 1.1945 1.9366 3.8725
Li 2.1822 0.3757 7.0680
Li 1.4833 4.8287 5.3084
Li 2.5024 3.2564 8.4807
Li 3.9398 -0.1860 3.8712
Li 4.8901 1.4204 8.4727
Li 4.2125 5.9041 3.8774
Li 5.2375 4.3463 7.0737
Li 6.6634 0.8420 5.3107
Mn 0.0489 2.9549 0.5725
Mn 3.1038 6.9260 0.5702
Co -0.9756 6.9618 3.3588
Co 4.2154 3.0051 3.3226
P 1.4694 4.8061 2.7062
P 2.7273 1.0933 1.1796
P 6.6397 0.8237 2.7103
P 5.7861 5.0708 1.1876
C -1.4569 6.3331 5.8309
C -0.0113 2.8625 6.4859
C 3.7088 2.3653 5.8182
C 3.0401 6.8403 6.4859
O -0.3390 0.4437 3.5749
O -0.7903 1.8612 6.7249
O -1.4866 6.3040 1.3606
O -1.7542 5.9448 7.0353
O 0.2739 3.2326 5.2730
O 0.5239 3.5662 2.5860
O -0.6819 7.3422 5.6012
O 1.5061 1.4782 0.2916
O 0.4970 3.5142 7.5016
O 0.7839 5.9056 3.5761
O 2.3282 0.5663 2.5710
O 1.8163 5.2846 1.2809
O 3.4160 0.0170 0.2884
O 3.2164 1.7428 4.7737
O 2.7275 4.4340 3.5465
O 2.2737 5.8294 6.7242
O 3.6694 2.3311 1.3594
O 3.4115 1.9695 7.0211
O 3.3210 7.2138 5.2730
O 3.5758 7.5411 2.5856
O 4.4879 3.3736 5.6005
O 4.5602 5.4496 0.3043
O 5.6503 -0.4512 7.5020
O 5.9569 1.9377 3.5629
O 5.3957 4.5547 2.5872
O 7.0061 1.2931 1.2869
O 6.4673 3.9848 0.3024
O 6.2781 5.7029 4.7887
```

The 8 most intense peaks (5 to 70 degrees two-theta), in order of rising 2θ:
d/Å  Rel. int.
8.500  86
5.171  22
4.513  33
4.115  56
3.417  34
3.258  100
2.463  32
2.218  26